Computed X-ray powder pattern
Compound: CuSe
Radiation: a wavelength of 1.5418 Å
Structure: a cell relaxed with PBE
Kinematic intensities with the Lorentz-polarization factor, no thermal factor.

The 10 most intense peaks (2θ from 5° to 70°), sorted by position:
2θ (°), I (rel.), hkl
16.29, 44, 0 0 1
28.83, 100, 1 0 1
37.60, 60, 1 1 1
40.92, 7, 1 0 2
47.79, 79, 1 1 2
48.33, 42, 2 0 0
50.30, 12, 0 0 3
51.34, 8, 2 0 1
56.29, 10, 1 0 3
57.26, 28, 2 1 1

Structure:
```
data_CuSe
_space_group_name_H-M_alt 'P 4/n m m'
_space_group_IT_number 129
_cell_length_a 3.7663
_cell_length_b 3.7663
_cell_length_c 5.4422
_cell_angle_alpha 90.00
_cell_angle_beta 90.00
_cell_angle_gamma 90.00
loop_
_space_group_symop_operation_xyz
'x,y,z'
'-x,-y,-z'
'-y+1/2,x,z'
'y+1/2,-x,-z'
'-x+1/2,-y+1/2,z'
'x+1/2,y+1/2,-z'
'y,-x+1/2,z'
'-y,x+1/2,-z'
'x+1/2,-y,-z'
'-x+1/2,y,z'
'-y,-x,-z'
'y,x,z'
'-x,y+1/2,-z'
'x,-y+1/2,z'
'y+1/2,x+1/2,-z'
'-y+1/2,-x+1/2,z'
loop_
_atom_site_label
_atom_site_type_symbol
_atom_site_fract_x
_atom_site_fract_y
_atom_site_fract_z
Cu1 Cu 0.2500 0.7500 0.0000
Se1 Se 0.2500 0.2500 0.2847
```